Record 1
Diffraction record for Tb2CeSm3. The powder diffractogram is theoretical, not measured: it uses a DFT-relaxed cell (PBE, Alexandria) and Cu Kα, 1.54184 Å.

Crystal structure
a = 6.962 Å, b = 16.218 Å, c = 3.508 Å
α = 90.00°, β = 90.00°, γ = 90.00°
Fractional positions:
Tb  0.248  0.154  0.000
Tb  0.252  0.654  0.500
Tb  0.748  0.346  0.500
Tb  0.752  0.846  0.000
Ce  0.000  0.000  0.500
Ce  0.500  0.500  0.000
Sm  0.000  0.500  0.000
Sm  0.248  0.844  0.000
Sm  0.252  0.344  0.500
Sm  0.500  0.000  0.500
Sm  0.748  0.656  0.500
Sm  0.752  0.156  0.000

Most intense lines, 10 to 80 degrees two-theta, in order of rising 2θ:
hkl 2 2 0, 27.9°, d = 3.199 Å, I 42; hkl 0 3 1, 30.4°, d = 2.942 Å, I 100; hkl 0 6 0, 33.1°, d = 2.703 Å, I 36; hkl 2 4 0, 33.9°, d = 2.641 Å, I 51; hkl 2 1 1, 36.8°, d = 2.443 Å, I 61; hkl 2 5 1, 46.2°, d = 1.965 Å, I 12; hkl 0 0 2, 52.2°, d = 1.754 Å, I 13; hkl 2 7 1, 54.3°, d = 1.690 Å, I 33; hkl 0 9 1, 57.5°, d = 1.603 Å, I 13; hkl 4 3 1, 61.9°, d = 1.498 Å, I 26; hkl 2 10 0, 63.2°, d = 1.471 Å, I 23; hkl 2 4 2, 63.7°, d = 1.461 Å, I 17



Record 2
Diffraction record for Tb4CeSm2. The powder diffractogram is theoretical, not measured: it uses a DFT-relaxed cell (PBE, Alexandria) and Cu Kα, 1.54184 Å.

Crystal structure
a = 6.239 Å, b = 3.597 Å, c = 20.338 Å
α = 90.00°, β = 95.95°, γ = 90.00°
Fractional positions:
Tb  0.000  0.000  0.000
Tb  0.023  0.500  0.571
Tb  0.403  0.500  0.712
Tb  0.430  0.000  0.286
Tb  0.500  0.500  0.000
Tb  0.523  0.000  0.571
Tb  0.903  0.000  0.712
Tb  0.930  0.500  0.286
Ce  0.304  0.500  0.428
Ce  0.804  0.000  0.428
Sm  0.122  0.500  0.856
Sm  0.212  0.500  0.143
Sm  0.622  0.000  0.856
Sm  0.712  0.000  0.143

Most intense lines, 10 to 80 degrees two-theta, in order of rising 2θ:
hkl 1 1 0, 28.7°, d = 3.113 Å, I 33; hkl 1 1 -1, 28.8°, d = 3.101 Å, I 12; hkl 0 0 7, 31.0°, d = 2.889 Å, I 61; hkl 2 0 -4, 32.3°, d = 2.773 Å, I 100; hkl 2 0 3, 33.0°, d = 2.714 Å, I 96; hkl 1 1 -7, 41.5°, d = 2.174 Å, I 12; hkl 1 1 7, 43.8°, d = 2.066 Å, I 11; hkl 0 2 0, 50.7°, d = 1.800 Å, I 42; hkl 2 0 -11, 55.4°, d = 1.658 Å, I 21; hkl 2 0 10, 56.8°, d = 1.620 Å, I 21; hkl 3 1 6, 60.6°, d = 1.528 Å, I 49; hkl 2 2 -4, 61.4°, d = 1.510 Å, I 16